No. 1
This entry pairs a crystal structure of LaTb6Te8 with its simulated X-ray diffraction stick pattern. Radiation: CuKα. Structure: the PBE geometry in Alexandria.
No peak broadening, texture or thermal motion is included.

Cell and atoms:
```
15
Lattice="0.0000 6.1792 6.1792 6.1792 0.0000 6.1792 6.1792 6.1792 0.0000" Properties=species:S:1:pos:R:3 pbc="T T T"
La 0.0000 0.0000 0.0000
Tb 3.0896 3.0896 0.0000
Tb 3.0896 0.0000 3.0896
Tb 6.1792 3.0896 3.0896
Tb 0.0000 3.0896 3.0896
Tb 3.0896 6.1792 3.0896
Tb 3.0896 3.0896 6.1792
Te 3.0896 3.0896 3.0896
Te 6.1792 6.1792 3.2516
Te 6.1792 3.2516 6.1792
Te 9.1068 6.1792 6.1792
Te 3.2516 6.1792 6.1792
Te 6.1792 9.1068 6.1792
Te 6.1792 6.1792 9.1068
Te 9.2688 9.2688 9.2688
```

The 8 most intense peaks (2θ from 10° to 80°), in order of falling intensity:
2θ 28.90, I 100
2θ 41.33, I 75
2θ 67.83, I 33
2θ 51.21, I 26
2θ 75.35, I 24
2θ 59.87, I 12
2θ 31.56, I 4
2θ 23.88, I 4

=====

No. 2
This entry pairs a crystal structure of La4Tb3TmTe8 with its simulated X-ray diffraction stick pattern. Radiation: CuKα. Structure: the PBE geometry in Alexandria.
No peak broadening, texture or thermal motion is included.

Cell and atoms:
```
16
Lattice="4.4386 2.5626 7.3938 -4.4386 2.5626 7.3938 0.0000 -5.1252 7.3938" Properties=species:S:1:pos:R:3 pbc="T T T"
La 0.0000 0.0000 0.0000
La -2.2193 -1.2813 7.3938
La -2.2193 1.2813 14.7877
La 0.0000 2.5626 7.3938
Tb -4.4385 0.0000 11.0908
Tb -2.2193 1.2813 3.6969
Tb 2.2193 1.2813 3.6969
Tm 0.0000 0.0000 11.0908
Te 0.0000 0.0000 5.4306
Te -2.1977 -1.2688 12.8072
Te 0.0000 -2.5377 9.3743
Te -2.1977 1.2688 9.3743
Te 2.1977 -1.2688 12.8072
Te 0.0000 2.5377 12.8072
Te 2.1977 1.2688 9.3743
Te 0.0000 0.0000 16.7509
```

The 8 most intense peaks (2θ from 10° to 80°), in order of falling intensity:
2θ 28.25, I 100
2θ 40.10, I 38
2θ 40.65, I 38
2θ 50.24, I 20
2θ 66.53, I 17
2θ 65.75, I 17
2θ 73.60, I 13
2θ 58.43, I 12

=====

No. 3
This entry pairs a crystal structure of La2TbTm3Te6 with its simulated X-ray diffraction stick pattern. Radiation: CuKα. Structure: the PBE geometry in Alexandria.
No peak broadening, texture or thermal motion is included.

Cell and atoms:
```
12
Lattice="9.6752 -2.1757 0.0000 9.6752 2.1757 0.0000 -2.3335 0.0000 8.6220" Properties=species:S:1:pos:R:3 pbc="T T T"
La 2.4494 0.0000 2.8745
La 14.5674 0.0000 5.7475
Tb 9.6752 0.0000 0.0000
Tm 1.3537 0.0000 7.1967
Tm 8.5084 0.0000 4.3110
Tm 15.6631 0.0000 1.4253
Te -1.6220 0.0000 6.4555
Te 4.2850 0.0000 8.0366
Te 5.6054 0.0000 3.4917
Te 11.4114 0.0000 5.1303
Te 12.7319 0.0000 0.5853
Te 18.6388 0.0000 2.1665
```

The 8 most intense peaks (2θ from 10° to 80°), in order of falling intensity:
2θ 28.66, I 100
2θ 40.48, I 38
2θ 41.47, I 37
2θ 67.91, I 17
2θ 51.23, I 13
2θ 59.34, I 12
2θ 66.54, I 11
2θ 75.04, I 8

=====

No. 4
This entry pairs a crystal structure of La4TbTh with its simulated X-ray diffraction stick pattern. Radiation: CuKα. Structure: the PBE geometry in Alexandria.
No peak broadening, texture or thermal motion is included.

Cell and atoms:
```
12
Lattice="5.8052 0.0000 0.0000 0.0000 7.0921 0.0000 0.0000 0.0000 10.0966" Properties=species:S:1:pos:R:3 pbc="T T T"
La 0.0000 1.7583 1.6794
La 0.0000 1.7583 8.4172
La 0.0000 5.3338 1.6794
La 0.0000 5.3338 8.4172
La 2.9026 1.7877 3.3689
La 2.9026 1.7877 6.7277
La 2.9026 5.3044 3.3689
La 2.9026 5.3044 6.7277
Tb 0.0000 3.5461 5.0483
Tb 2.9026 0.0000 0.0000
Th 0.0000 0.0000 5.0483
Th 2.9026 3.5461 0.0000
```

The 8 most intense peaks (2θ from 10° to 80°), in order of falling intensity:
2θ 30.74, I 100
2θ 30.84, I 98
2θ 54.69, I 40
2θ 44.10, I 37
2θ 61.20, I 19
2θ 54.81, I 14
2θ 61.26, I 9
2θ 78.49, I 9

=====

No. 5
This entry pairs a crystal structure of La6TbTh3 with its simulated X-ray diffraction stick pattern. Radiation: CuKα. Structure: the PBE geometry in Alexandria.
No peak broadening, texture or thermal motion is included.

Cell and atoms:
```
10
Lattice="5.0660 2.9248 4.1210 -5.0660 2.9248 4.1210 0.0000 -5.8497 4.1210" Properties=species:S:1:pos:R:3 pbc="T T T"
La -1.6301 -2.8383 4.1210
La -3.3980 -0.1058 6.1579
La -1.6430 2.8308 4.1210
La 1.7906 -2.8898 6.1579
La 3.2731 0.0074 4.1209
La 1.6074 2.9956 6.1579
Tb 0.0000 0.0000 1.0012
Th 0.0000 0.0000 4.0521
Th 0.0000 0.0000 7.1876
Th 0.0000 0.0000 10.2716
```

The 8 most intense peaks (2θ from 10° to 80°), in order of falling intensity:
2θ 30.56, I 100
2θ 27.91, I 49
2θ 54.35, I 28
2θ 30.67, I 27
2θ 17.51, I 25
2θ 39.87, I 25
2θ 47.54, I 22
2θ 35.51, I 19

=====

No. 6
This entry pairs a crystal structure of LaTbTh3 with its simulated X-ray diffraction stick pattern. Radiation: CuKα. Structure: the PBE geometry in Alexandria.
No peak broadening, texture or thermal motion is included.

Cell and atoms:
```
10
Lattice="-5.0054 5.9519 3.0142 5.0054 -5.9519 3.0142 5.0054 5.9519 -3.0142" Properties=species:S:1:pos:R:3 pbc="T T T"
La -2.5027 2.9760 1.5071
La 2.5027 2.9760 1.5071
Tb 5.0054 2.9760 -1.2011
Tb 0.0000 2.9760 4.2153
Th 0.0000 0.0000 0.0000
Th 3.3204 0.0000 0.0000
Th 6.6903 0.0000 0.0000
Th 0.0000 5.9519 0.0000
Th 3.3204 5.9519 0.0000
Th 1.6849 0.0000 3.0142
```

The 8 most intense peaks (2θ from 10° to 80°), in order of falling intensity:
2θ 34.21, I 100
2θ 33.32, I 90
2θ 30.03, I 63
2θ 30.62, I 50
2θ 14.88, I 48
2θ 43.42, I 39
2θ 24.29, I 38
2θ 56.04, I 26